(1)
Starting from a GGA-PBE-relaxed structure, the X-ray diffraction stick pattern of PrTh3P4 was calculated for CuKα.

Principal peaks in the range 10 to 90 degrees two-theta, in order of rising 2θ:
2theta  intensity
26.28  100
30.44  98
43.59  74
51.62  51
54.09  26
63.35  12
69.80  21
71.90  34
80.04  26
86.01  17

Cell and atoms:
Cell: 5.8729 5.8729 5.8729 Å, 90.00 90.00 90.00°
Element x y z (fractional)
Pr 0.0000 0.0000 0.0000
Th 0.0000 0.5000 0.5000
Th 0.5000 0.0000 0.5000
Th 0.5000 0.5000 0.0000
P 0.0000 0.0000 0.5000
P 0.0000 0.5000 0.0000
P 0.5000 0.0000 0.0000
P 0.5000 0.5000 0.5000

=====

(2)
Starting from a GGA-PBE-relaxed structure, the X-ray diffraction stick pattern of ScHRh3 was calculated for CuKα.

Principal peaks in the range 10 to 90 degrees two-theta, in order of rising 2θ:
2theta  intensity
22.56  6
31.71  5
39.26  100
44.85  17
46.05  32
66.23  20
67.17  10
78.92  12
80.66  23
84.43  10

Cell and atoms:
Cell: 5.6460 5.6460 5.6460 Å, 120.85 120.81 88.56°
Element x y z (fractional)
Sc 0.2382 0.2382 0.0000
Sc 0.7618 0.7618 0.0000
H 0.0000 0.5000 0.5000
H 0.5000 0.5000 0.0000
Rh 0.2529 0.2484 0.5013
Rh 0.2529 0.7516 0.0045
Rh 0.2527 0.7527 0.5000
Rh 0.7473 0.2473 0.5000
Rh 0.7471 0.2484 0.9955
Rh 0.7471 0.7516 0.4987

=====

(3)
Starting from a GGA-PBE-relaxed structure, the X-ray diffraction stick pattern of Tl3PS4 was calculated for CuKα.

Principal peaks in the range 10 to 90 degrees two-theta, in order of rising 2θ:
2theta  intensity
21.19  53
21.86  100
23.10  63
25.18  44
26.11  82
27.07  40
31.35  89
32.86  52
34.85  57
39.23  43

Cell and atoms:
Cell: 9.0588 11.0198 9.2233 Å, 90.00 90.00 90.00°
Element x y z (fractional)
Tl 0.0648 0.0536 0.1975
Tl 0.0648 0.4464 0.1975
Tl 0.1015 0.7500 0.3905
Tl 0.3985 0.2500 0.8905
Tl 0.4352 0.5536 0.6975
Tl 0.4352 0.9464 0.6975
Tl 0.5648 0.0536 0.3025
Tl 0.5648 0.4464 0.3025
Tl 0.6015 0.7500 0.1095
Tl 0.8985 0.2500 0.6095
Tl 0.9352 0.5536 0.8025
Tl 0.9352 0.9464 0.8025
P 0.2205 0.7500 0.9724
P 0.2795 0.2500 0.4724
P 0.7205 0.7500 0.5276
P 0.7795 0.2500 0.0276
S 0.0120 0.7500 0.0600
S 0.1653 0.0968 0.5324
S 0.1653 0.4032 0.5324
S 0.1971 0.7500 0.7476
S 0.3029 0.2500 0.2476
S 0.3347 0.5968 0.0324
S 0.3347 0.9032 0.0324
S 0.4880 0.2500 0.5600
S 0.5120 0.7500 0.4400
S 0.6653 0.0968 0.9676
S 0.6653 0.4032 0.9676
S 0.6971 0.7500 0.7524
S 0.8029 0.2500 0.2524
S 0.8347 0.5968 0.4676
S 0.8347 0.9032 0.4676
S 0.9880 0.2500 0.9400

=====

(4)
Starting from a GGA-PBE-relaxed structure, the X-ray diffraction stick pattern of Sm5ErAs6 was calculated for CuKα.

Principal peaks in the range 10 to 90 degrees two-theta, in order of rising 2θ:
2theta  intensity
26.02  20
30.14  100
43.14  75
51.07  10
53.52  26
62.65  12
69.02  4
71.08  34
79.10  25
84.97  3

Cell and atoms:
Cell: 7.2640 7.2640 7.2636 Å, 99.61 99.61 119.98°
Element x y z (fractional)
Sm 0.0000 0.0000 0.0000
Sm 0.1664 0.8336 0.5000
Sm 0.3324 0.6676 0.0000
Sm 0.6676 0.3324 0.0000
Sm 0.8336 0.1664 0.5000
Er 0.5000 0.5000 0.5000
As 0.0887 0.4178 0.2530
As 0.2536 0.2536 0.7477
As 0.4178 0.0887 0.2530
As 0.5822 0.9113 0.7470
As 0.7464 0.7464 0.2523
As 0.9113 0.5822 0.7470

=====

(5)
Starting from a GGA-PBE-relaxed structure, the X-ray diffraction stick pattern of CsCd6Ag was calculated for CuKα.

Principal peaks in the range 10 to 90 degrees two-theta, in order of rising 2θ:
2theta  intensity
24.82  23
27.99  18
29.81  50
35.98  50
36.89  100
42.91  17
49.29  18
52.48  16
65.87  16
66.47  17

Cell and atoms:
Cell: 11.6952 11.6952 11.6952 Å, 24.05 24.05 24.05°
Element x y z (fractional)
Cs 0.0000 0.0000 0.0000
Cd 0.1392 0.1392 0.1392
Cd 0.2337 0.2337 0.2337
Cd 0.4134 0.4134 0.4134
Cd 0.5866 0.5866 0.5866
Cd 0.7663 0.7663 0.7663
Cd 0.8608 0.8608 0.8608
Ag 0.5000 0.5000 0.5000

=====

(6)
Starting from a GGA-PBE-relaxed structure, the X-ray diffraction stick pattern of CsMg2As was calculated for CuKα.

Principal peaks in the range 10 to 90 degrees two-theta, in order of rising 2θ:
2theta  intensity
19.89  19
20.87  12
22.93  100
29.33  27
35.70  31
36.71  29
46.85  22
48.35  26
50.72  11
56.96  16

Cell and atoms:
Cell: 6.0897 6.0897 17.8517 Å, 90.00 90.00 90.00°
Element x y z (fractional)
Cs 0.0000 0.2500 0.3750
Cs 0.0000 0.7500 0.6250
Cs 0.5000 0.2500 0.1250
Cs 0.5000 0.7500 0.8750
Mg 0.0000 0.0000 0.0000
Mg 0.0000 0.5000 0.0000
Mg 0.2500 0.2500 0.7500
Mg 0.2500 0.7500 0.2500
Mg 0.5000 0.0000 0.5000
Mg 0.5000 0.5000 0.5000
Mg 0.7500 0.2500 0.7500
Mg 0.7500 0.7500 0.2500
As 0.0000 0.2500 0.8750
As 0.0000 0.7500 0.1250
As 0.5000 0.2500 0.6250
As 0.5000 0.7500 0.3750

=====

(7)
Starting from a GGA-PBE-relaxed structure, the X-ray diffraction stick pattern of TmZr2MoC4 was calculated for CuKα.

Principal peaks in the range 10 to 90 degrees two-theta, in order of rising 2θ:
2theta  intensity
15.10  16
27.50  30
30.47  53
30.83  53
31.84  100
36.42  20
38.84  86
43.90  35
50.39  21
64.81  18

Cell and atoms:
Cell: 6.0345 6.0345 11.7365 Å, 90.00 90.00 147.96°
Element x y z (fractional)
Tm 0.1174 0.8826 0.7500
Tm 0.8826 0.1174 0.2500
Zr 0.3686 0.6314 0.5350
Zr 0.3686 0.6314 0.9650
Zr 0.6314 0.3686 0.0350
Zr 0.6314 0.3686 0.4650
Mo 0.1491 0.8509 0.2500
Mo 0.8509 0.1491 0.7500
C 0.0000 0.0000 0.0000
C 0.0000 0.0000 0.5000
C 0.2577 0.7423 0.1211
C 0.2577 0.7423 0.3789
C 0.4535 0.5465 0.7500
C 0.5465 0.4535 0.2500
C 0.7423 0.2577 0.6211
C 0.7423 0.2577 0.8789

=====

(8)
Starting from a GGA-PBE-relaxed structure, the X-ray diffraction stick pattern of RbAcCdF6 was calculated for CuKα.

Principal peaks in the range 10 to 90 degrees two-theta, in order of rising 2θ:
2theta  intensity
13.82  83
25.60  100
26.32  29
26.50  44
26.69  64
27.84  79
34.19  43
41.84  34
45.33  75
52.60  29

Cell and atoms:
Cell: 8.0097 8.0097 8.0097 Å, 121.84 117.69 90.45°
Element x y z (fractional)
Rb 0.3390 0.0890 0.2500
Rb 0.6610 0.9110 0.7500
Ac 0.0000 0.5000 0.5000
Ac 0.5000 0.5000 0.0000
Cd 0.0000 0.0000 0.5000
Cd 0.0000 0.5000 0.0000
F 0.0619 0.3419 0.1743
F 0.0619 0.8876 0.7200
F 0.1084 0.3584 0.7500
F 0.3324 0.1124 0.6743
F 0.3324 0.6581 0.2200
F 0.3679 0.6179 0.7500
F 0.6321 0.3821 0.2500
F 0.6676 0.3419 0.7800
F 0.6676 0.8876 0.3257
F 0.8916 0.6416 0.2500
F 0.9381 0.1124 0.2800
F 0.9381 0.6581 0.8257

=====

(9)
Starting from a GGA-PBE-relaxed structure, the X-ray diffraction stick pattern of Ho2TlHg was calculated for CuKα.

Principal peaks in the range 10 to 90 degrees two-theta, in order of rising 2θ:
2theta  intensity
33.56  26
33.69  26
33.93  100
48.29  19
49.20  9
60.25  19
60.40  19
60.91  19
71.41  12
80.74  13

Cell and atoms:
Cell: 5.3212 3.7041 10.6805 Å, 90.00 90.00 90.00°
Element x y z (fractional)
Ho 0.2500 0.0000 0.1189
Ho 0.2500 0.0000 0.6310
Ho 0.7500 0.0000 0.3690
Ho 0.7500 0.0000 0.8811
Tl 0.2500 0.5000 0.3738
Tl 0.7500 0.5000 0.6262
Hg 0.2500 0.5000 0.8764
Hg 0.7500 0.5000 0.1236

=====

(10)
Starting from a GGA-PBE-relaxed structure, the X-ray diffraction stick pattern of AlCuSO was calculated for CuKα.

Principal peaks in the range 10 to 90 degrees two-theta, in order of rising 2θ:
2theta  intensity
18.27  77
18.61  70
21.01  100
30.16  43
35.26  33
36.20  75
37.03  34
37.73  41
53.74  34
57.54  36

Cell and atoms:
Cell: 8.2766 8.4557 5.7741 Å, 90.00 134.23 90.00°
Element x y z (fractional)
Al 0.0000 0.0985 0.0000
Al 0.0000 0.9015 0.5000
Al 0.5000 0.4015 0.5000
Al 0.5000 0.5985 0.0000
Cu 0.0749 0.4999 0.3244
Cu 0.0749 0.5001 0.8244
Cu 0.5749 0.9999 0.3244
Cu 0.5749 0.0001 0.8244
S 0.3798 0.1449 0.3794
S 0.3798 0.8551 0.8794
S 0.8798 0.3551 0.8794
S 0.8798 0.6449 0.3794
O 0.4151 0.5003 0.1653
O 0.4151 0.4997 0.6653
O 0.9151 0.0003 0.1653
O 0.9151 0.9997 0.6653